Diffraction record for LaSm2Ga. The powder X-ray diffraction pattern is simulated, not measured: it uses DFT lattice parameters and positions (GGA-PBE) and a wavelength of 1.5418 Å.

Structural model:
```
data_LaSm2Ga
_chemical_formula_sum 'La1 Sm2 Ga1'
_symmetry_space_group_name_H-M 'P 1'
_symmetry_Int_Tables_number 1
_symmetry_space_group_name_Hall 'P 1'
_cell_length_a 3.609
_cell_length_b 3.609
_cell_length_c 9.164
_cell_angle_alpha 90.00
_cell_angle_beta 90.00
_cell_angle_gamma 90.00
loop_
_atom_site_label
_atom_site_type_symbol
_atom_site_fract_x
_atom_site_fract_y
_atom_site_fract_z
_atom_site_occupancy
La1 La 0.000 0.000 0.000 1
Sm1 Sm 0.500 0.500 0.295 1
Sm2 Sm 0.500 0.500 0.705 1
Ga1 Ga 0.000 0.000 0.500 1
```

Largest 12 diffraction maxima, in order of rising 2θ, 2θ = 10–90°:
2θ (°)	Rel. int.
26.54	155
29.24	116
31.56	1000
35.16	452
39.33	74
46.36	132
50.58	161
53.77	118
56.30	116
60.85	303
79.05	87
84.98	72

=====

Diffraction record for La6SmGa. The powder X-ray diffraction pattern is simulated, not measured: it uses DFT lattice parameters and positions (GGA-PBE) and a wavelength of 1.5418 Å.

Structural model:
```
data_La6SmGa
_chemical_formula_sum 'La6 Sm1 Ga1'
_symmetry_space_group_name_H-M 'P 1'
_symmetry_Int_Tables_number 1
_symmetry_space_group_name_Hall 'P 1'
_cell_length_a 6.752
_cell_length_b 6.767
_cell_length_c 6.948
_cell_angle_alpha 94.84
_cell_angle_beta 95.20
_cell_angle_gamma 119.25
loop_
_atom_site_label
_atom_site_type_symbol
_atom_site_fract_x
_atom_site_fract_y
_atom_site_fract_z
_atom_site_occupancy
La1 La 0.079 0.157 0.239 1
La2 La 0.255 0.754 0.434 1
La3 La 0.342 0.420 0.763 1
La4 La 0.658 0.580 0.237 1
La5 La 0.745 0.246 0.566 1
La6 La 0.921 0.843 0.761 1
Sm1 Sm 0.500 0.000 0.000 1
Ga1 Ga 0.000 0.500 0.000 1
```

Largest 12 diffraction maxima, in order of rising 2θ, 2θ = 10–90°:
2θ (°)	Rel. int.
26.48	198
28.19	221
30.23	479
30.34	483
30.52	133
30.66	511
31.50	1000
31.59	571
43.93	166
44.49	130
44.71	171
56.90	172

=====

Diffraction record for La5Ga2Sn. The powder X-ray diffraction pattern is simulated, not measured: it uses DFT lattice parameters and positions (GGA-PBE) and a wavelength of 1.5418 Å.

Structural model:
```
data_La5Ga2Sn
_chemical_formula_sum 'La10 Ga4 Sn2'
_symmetry_space_group_name_H-M 'P 1'
_symmetry_Int_Tables_number 1
_symmetry_space_group_name_Hall 'P 1'
_cell_length_a 9.196
_cell_length_b 9.196
_cell_length_c 9.196
_cell_angle_alpha 125.65
_cell_angle_beta 125.65
_cell_angle_gamma 80.46
loop_
_atom_site_label
_atom_site_type_symbol
_atom_site_fract_x
_atom_site_fract_y
_atom_site_fract_z
_atom_site_occupancy
La1 La 0.000 0.000 0.000 1
La2 La 0.024 0.524 0.841 1
La3 La 0.183 0.024 0.500 1
La4 La 0.317 0.817 0.841 1
La5 La 0.476 0.317 0.500 1
La6 La 0.500 0.500 0.000 1
La7 La 0.524 0.683 0.500 1
La8 La 0.683 0.183 0.159 1
La9 La 0.817 0.976 0.500 1
La10 La 0.976 0.476 0.159 1
Ga1 Ga 0.122 0.378 0.500 1
Ga2 Ga 0.378 0.878 0.256 1
Ga3 Ga 0.622 0.122 0.744 1
Ga4 Ga 0.878 0.622 0.500 1
Sn1 Sn 0.250 0.250 0.000 1
Sn2 Sn 0.750 0.750 0.000 1
```

Largest 12 diffraction maxima, in order of rising 2θ, 2θ = 10–90°:
2θ (°)	Rel. int.
24.53	155
29.56	199
30.09	200
30.52	1000
33.27	469
33.75	585
44.97	112
48.75	189
52.10	126
53.11	202
62.26	130
63.54	114

=====

Diffraction record for Sr2LaGa4. The powder X-ray diffraction pattern is simulated, not measured: it uses DFT lattice parameters and positions (GGA-PBE) and a wavelength of 1.5418 Å.

Structural model:
```
data_Sr2LaGa4
_chemical_formula_sum 'Sr2 La1 Ga4'
_symmetry_space_group_name_H-M 'P 1'
_symmetry_Int_Tables_number 1
_symmetry_space_group_name_Hall 'P 1'
_cell_length_a 10.423
_cell_length_b 10.423
_cell_length_c 10.423
_cell_angle_alpha 155.75
_cell_angle_beta 154.80
_cell_angle_gamma 35.25
loop_
_atom_site_label
_atom_site_type_symbol
_atom_site_fract_x
_atom_site_fract_y
_atom_site_fract_z
_atom_site_occupancy
Sr1 Sr 0.183 0.183 0.000 1
Sr2 Sr 0.817 0.817 0.000 1
La1 La 0.000 0.500 0.500 1
Ga1 Ga 0.369 0.369 0.000 1
Ga2 Ga 0.437 0.937 0.500 1
Ga3 Ga 0.563 0.063 0.500 1
Ga4 Ga 0.631 0.631 0.000 1
```

Largest 12 diffraction maxima, in order of rising 2θ, 2θ = 10–90°:
2θ (°)	Rel. int.
29.72	1000
29.86	665
33.66	475
37.77	365
39.65	308
41.23	276
46.05	210
51.74	281
54.68	165
55.91	230
58.53	192
62.35	166

=====

Diffraction record for SrLaGa. The powder X-ray diffraction pattern is simulated, not measured: it uses DFT lattice parameters and positions (GGA-PBE) and a wavelength of 1.5418 Å.

Structural model:
```
data_SrLaGa
_chemical_formula_sum 'Sr2 La2 Ga2'
_symmetry_space_group_name_H-M 'P 1'
_symmetry_Int_Tables_number 1
_symmetry_space_group_name_Hall 'P 1'
_cell_length_a 3.668
_cell_length_b 7.418
_cell_length_c 7.800
_cell_angle_alpha 103.03
_cell_angle_beta 103.60
_cell_angle_gamma 90.02
loop_
_atom_site_label
_atom_site_type_symbol
_atom_site_fract_x
_atom_site_fract_y
_atom_site_fract_z
_atom_site_occupancy
Sr1 Sr 0.124 0.063 0.249 1
Sr2 Sr 0.876 0.937 0.751 1
La1 La 0.149 0.582 0.298 1
La2 La 0.851 0.418 0.702 1
Ga1 Ga 0.499 0.695 0.998 1
Ga2 Ga 0.501 0.305 0.002 1
```

Largest 12 diffraction maxima, in order of rising 2θ, 2θ = 10–90°:
2θ (°)	Rel. int.
12.27	161
24.14	145
25.02	81
30.00	328
30.40	1000
34.39	571
36.56	101
39.22	146
42.65	87
49.72	112
59.14	151
59.38	87

=====

Diffraction record for LaTb2Ga2. The powder X-ray diffraction pattern is simulated, not measured: it uses DFT lattice parameters and positions (GGA-PBE) and a wavelength of 1.5418 Å.

Structural model:
```
data_LaTb2Ga2
_chemical_formula_sum 'La1 Tb2 Ga2'
_symmetry_space_group_name_H-M 'P 1'
_symmetry_Int_Tables_number 1
_symmetry_space_group_name_Hall 'P 1'
_cell_length_a 6.664
_cell_length_b 6.664
_cell_length_c 5.884
_cell_angle_alpha 101.96
_cell_angle_beta 101.96
_cell_angle_gamma 33.36
loop_
_atom_site_label
_atom_site_type_symbol
_atom_site_fract_x
_atom_site_fract_y
_atom_site_fract_z
_atom_site_occupancy
La1 La 0.000 0.000 0.000 1
Tb1 Tb 0.361 0.361 0.431 1
Tb2 Tb 0.639 0.639 0.569 1
Ga1 Ga 0.291 0.291 0.888 1
Ga2 Ga 0.709 0.709 0.112 1
```

Largest 12 diffraction maxima, in order of rising 2θ, 2θ = 10–90°:
2θ (°)	Rel. int.
28.08	477
29.50	424
29.78	367
31.14	269
31.35	299
31.79	1000
35.62	354
38.61	239
41.18	196
47.53	240
58.03	184
72.83	185

=====

Diffraction record for LaTb2Ga2. The powder X-ray diffraction pattern is simulated, not measured: it uses DFT lattice parameters and positions (GGA-PBE) and a wavelength of 1.5418 Å.

Structural model:
```
data_LaTb2Ga2
_chemical_formula_sum 'La2 Tb4 Ga4'
_symmetry_space_group_name_H-M 'P 1'
_symmetry_Int_Tables_number 1
_symmetry_space_group_name_Hall 'P 1'
_cell_length_a 8.427
_cell_length_b 8.427
_cell_length_c 3.708
_cell_angle_alpha 90.00
_cell_angle_beta 90.00
_cell_angle_gamma 90.00
loop_
_atom_site_label
_atom_site_type_symbol
_atom_site_fract_x
_atom_site_fract_y
_atom_site_fract_z
_atom_site_occupancy
La1 La 0.000 0.000 0.000 1
La2 La 0.500 0.500 0.000 1
Tb1 Tb 0.176 0.324 0.500 1
Tb2 Tb 0.324 0.824 0.500 1
Tb3 Tb 0.676 0.176 0.500 1
Tb4 Tb 0.824 0.676 0.500 1
Ga1 Ga 0.117 0.617 0.000 1
Ga2 Ga 0.383 0.117 0.000 1
Ga3 Ga 0.617 0.883 0.000 1
Ga4 Ga 0.883 0.383 0.000 1
```

Largest 12 diffraction maxima, in order of rising 2θ, 2θ = 10–90°:
2θ (°)	Rel. int.
23.61	192
28.35	109
29.99	205
32.15	625
33.63	566
33.91	1000
44.32	187
49.13	149
51.02	189
52.25	212
60.86	203
61.42	186

=====

Diffraction record for LaTbGa4. The powder X-ray diffraction pattern is simulated, not measured: it uses DFT lattice parameters and positions (GGA-PBE) and a wavelength of 1.5418 Å.

Structural model:
```
data_LaTbGa4
_chemical_formula_sum 'La1 Tb1 Ga4'
_symmetry_space_group_name_H-M 'P 1'
_symmetry_Int_Tables_number 1
_symmetry_space_group_name_Hall 'P 1'
_cell_length_a 8.035
_cell_length_b 8.035
_cell_length_c 8.035
_cell_angle_alpha 149.14
_cell_angle_beta 149.14
_cell_angle_gamma 44.21
loop_
_atom_site_label
_atom_site_type_symbol
_atom_site_fract_x
_atom_site_fract_y
_atom_site_fract_z
_atom_site_occupancy
La1 La 0.000 0.000 0.000 1
Tb1 Tb 0.750 0.250 0.500 1
Ga1 Ga 0.168 0.668 0.500 1
Ga2 Ga 0.332 0.832 0.500 1
Ga3 Ga 0.415 0.415 0.000 1
Ga4 Ga 0.585 0.585 0.000 1
```

Largest 12 diffraction maxima, in order of rising 2θ, 2θ = 10–90°:
2θ (°)	Rel. int.
27.53	326
31.95	1000
36.78	528
42.27	410
47.76	251
51.19	118
57.25	288
61.32	134
65.65	190
70.50	99
70.82	196
88.80	84

=====

Diffraction record for La3TbGa2. The powder X-ray diffraction pattern is simulated, not measured: it uses DFT lattice parameters and positions (GGA-PBE) and a wavelength of 1.5418 Å.

Structural model:
```
data_La3TbGa2
_chemical_formula_sum 'La6 Tb2 Ga4'
_symmetry_space_group_name_H-M 'P 1'
_symmetry_Int_Tables_number 1
_symmetry_space_group_name_Hall 'P 1'
_cell_length_a 5.243
_cell_length_b 9.815
_cell_length_c 6.750
_cell_angle_alpha 90.00
_cell_angle_beta 90.00
_cell_angle_gamma 90.00
loop_
_atom_site_label
_atom_site_type_symbol
_atom_site_fract_x
_atom_site_fract_y
_atom_site_fract_z
_atom_site_occupancy
La1 La 0.000 0.055 0.000 1
La2 La 0.000 0.335 0.320 1
La3 La 0.000 0.665 0.820 1
La4 La 0.000 0.945 0.500 1
La5 La 0.500 0.173 0.702 1
La6 La 0.500 0.827 0.202 1
Tb1 Tb 0.500 0.441 0.019 1
Tb2 Tb 0.500 0.559 0.519 1
Ga1 Ga 0.000 0.352 0.804 1
Ga2 Ga 0.000 0.648 0.304 1
Ga3 Ga 0.500 0.153 0.223 1
Ga4 Ga 0.500 0.847 0.723 1
```

Largest 12 diffraction maxima, in order of rising 2θ, 2θ = 10–90°:
2θ (°)	Rel. int.
23.32	106
28.20	380
30.36	200
31.53	207
32.23	1000
32.85	865
34.21	497
46.38	125
47.68	213
58.35	210
60.02	115
60.39	149

=====

Diffraction record for La2Ga5Tc. The powder X-ray diffraction pattern is simulated, not measured: it uses DFT lattice parameters and positions (GGA-PBE) and a wavelength of 1.5418 Å.

Structural model:
```
data_La2Ga5Tc
_chemical_formula_sum 'La2 Ga5 Tc1'
_symmetry_space_group_name_H-M 'P 1'
_symmetry_Int_Tables_number 1
_symmetry_space_group_name_Hall 'P 1'
_cell_length_a 6.410
_cell_length_b 6.410
_cell_length_c 6.410
_cell_angle_alpha 121.81
_cell_angle_beta 121.81
_cell_angle_gamma 86.89
loop_
_atom_site_label
_atom_site_type_symbol
_atom_site_fract_x
_atom_site_fract_y
_atom_site_fract_z
_atom_site_occupancy
La1 La 0.000 0.500 0.500 1
La2 La 0.500 0.000 0.500 1
Ga1 Ga 0.029 0.029 0.000 1
Ga2 Ga 0.029 0.029 0.570 1
Ga3 Ga 0.029 0.460 0.000 1
Ga4 Ga 0.460 0.029 0.000 1
Ga5 Ga 0.460 0.460 0.430 1
Tc1 Tc 0.762 0.762 0.000 1
```

Largest 12 diffraction maxima, in order of rising 2θ, 2θ = 10–90°:
2θ (°)	Rel. int.
17.12	163
27.88	697
33.56	229
34.64	1000
38.69	367
40.95	575
43.65	160
50.27	189
57.60	387
59.30	161
70.53	161
73.08	159

=====

Diffraction record for LaGa2Tc2. The powder X-ray diffraction pattern is simulated, not measured: it uses DFT lattice parameters and positions (GGA-PBE) and a wavelength of 1.5418 Å.

Structural model:
```
data_LaGa2Tc2
_chemical_formula_sum 'La2 Ga4 Tc4'
_symmetry_space_group_name_H-M 'P 1'
_symmetry_Int_Tables_number 1
_symmetry_space_group_name_Hall 'P 1'
_cell_length_a 11.423
_cell_length_b 11.423
_cell_length_c 11.423
_cell_angle_alpha 158.54
_cell_angle_beta 158.34
_cell_angle_gamma 30.67
loop_
_atom_site_label
_atom_site_type_symbol
_atom_site_fract_x
_atom_site_fract_y
_atom_site_fract_z
_atom_site_occupancy
La1 La 0.348 0.098 0.250 1
La2 La 0.652 0.902 0.750 1
Ga1 Ga 0.105 0.355 0.750 1
Ga2 Ga 0.223 0.473 0.750 1
Ga3 Ga 0.777 0.527 0.250 1
Ga4 Ga 0.895 0.645 0.250 1
Tc1 Tc 0.032 0.782 0.250 1
Tc2 Tc 0.468 0.718 0.750 1
Tc3 Tc 0.532 0.282 0.250 1
Tc4 Tc 0.968 0.218 0.750 1
```

Largest 12 diffraction maxima, in order of rising 2θ, 2θ = 10–90°:
2θ (°)	Rel. int.
29.18	382
30.69	473
33.84	1000
35.36	304
35.48	182
38.59	730
42.10	546
42.51	786
44.52	318
58.86	211
61.39	394
61.69	165

=====

Diffraction record for La3GaTc. The powder X-ray diffraction pattern is simulated, not measured: it uses DFT lattice parameters and positions (GGA-PBE) and a wavelength of 1.5418 Å.

Structural model:
```
data_La3GaTc
_chemical_formula_sum 'La6 Ga2 Tc2'
_symmetry_space_group_name_H-M 'P 1'
_symmetry_Int_Tables_number 1
_symmetry_space_group_name_Hall 'P 1'
_cell_length_a 9.510
_cell_length_b 8.835
_cell_length_c 5.952
_cell_angle_alpha 77.35
_cell_angle_beta 65.02
_cell_angle_gamma 37.63
loop_
_atom_site_label
_atom_site_type_symbol
_atom_site_fract_x
_atom_site_fract_y
_atom_site_fract_z
_atom_site_occupancy
La1 La 0.199 0.199 0.801 1
La2 La 0.203 0.592 0.408 1
La3 La 0.408 0.797 0.203 1
La4 La 0.592 0.203 0.797 1
La5 La 0.797 0.408 0.592 1
La6 La 0.801 0.801 0.199 1
Ga1 Ga 0.187 0.813 0.813 1
Ga2 Ga 0.813 0.187 0.187 1
Tc1 Tc 0.250 0.250 0.250 1
Tc2 Tc 0.750 0.750 0.750 1
```

Largest 12 diffraction maxima, in order of rising 2θ, 2θ = 10–90°:
2θ (°)	Rel. int.
26.26	315
28.50	276
30.92	851
31.78	776
33.98	1000
34.38	566
34.70	261
36.76	255
37.86	522
39.14	462
56.51	423
63.26	247